Theoretical X-ray diffraction stick pattern
Compound: KCe2Pu3Te6
Radiation: Cu Ka
Structure: a structure optimized by DFT (GGA-PBE)
Peak positions follow from Bragg's law for the DFT cell and can differ from measured ones.

Cell and atoms:
a = 10.1342 Å, b = 10.1342 Å, c = 9.1675 Å
α = 102.77°, β = 102.77°, γ = 25.56°
Fractional positions:
K 0.0000 0.0000 0.0000
Ce 0.3320 0.3320 0.6644
Ce 0.6680 0.6680 0.3356
Pu 0.0000 0.0000 0.5000
Pu 0.3347 0.3347 0.1671
Pu 0.6653 0.6653 0.8329
Te 0.1656 0.1656 0.5873
Te 0.1722 0.1722 0.0840
Te 0.4988 0.4988 0.7337
Te 0.5012 0.5012 0.2663
Te 0.8278 0.8278 0.9160
Te 0.8344 0.8344 0.4127

Main lines, in order of rising 2θ (2θ from 10° to 90°):
11.89 deg, 7.441 Å, rel. 13; 27.82 deg, 3.206 Å, rel. 100; 39.31 deg, 2.292 Å, rel. 13; 39.67 deg, 2.272 Å, rel. 26; 39.83 deg, 2.263 Å, rel. 25; 40.23 deg, 2.242 Å, rel. 13; 49.61 deg, 1.838 Å, rel. 14; 57.48 deg, 1.603 Å, rel. 13; 64.92 deg, 1.436 Å, rel. 12; 65.14 deg, 1.432 Å, rel. 12

***

Theoretical X-ray diffraction stick pattern
Compound: KRb2CeSe4
Radiation: Cu Ka
Structure: a structure optimized by DFT (GGA-PBE)
Peak positions follow from Bragg's law for the DFT cell and can differ from measured ones.

Cell and atoms:
a = 8.1504 Å, b = 4.4626 Å, c = 8.3304 Å
α = 90.00°, β = 108.15°, γ = 90.00°
Fractional positions:
K 0.0000 0.0000 0.0000
Rb 0.0000 0.5000 0.5000
Rb 0.5000 0.0000 0.5000
Ce 0.5000 0.5000 0.0000
Se 0.2822 0.5000 0.2047
Se 0.2990 0.0000 0.8037
Se 0.7010 0.0000 0.1963
Se 0.7178 0.5000 0.7953

Main lines, in order of rising 2θ (2θ from 10° to 90°):
11.18 deg, 7.916 Å, rel. 11; 11.43 deg, 7.745 Å, rel. 28; 26.72 deg, 3.336 Å, rel. 46; 27.20 deg, 3.279 Å, rel. 100; 35.11 deg, 2.556 Å, rel. 13; 37.20 deg, 2.417 Å, rel. 16; 38.19 deg, 2.357 Å, rel. 30; 38.81 deg, 2.320 Å, rel. 32; 40.42 deg, 2.231 Å, rel. 19; 49.13 deg, 1.855 Å, rel. 19